Theoretical X-ray diffraction stick pattern
Compound: SrAcTeP
Radiation: CuKα
Structure: a structure optimized by DFT (GGA-PBE)
Peak positions follow from Bragg's law for the DFT cell and can differ from measured ones.

Structure:
```
data_SrAcTeP
_symmetry_space_group_name_H-M 'R 3 m'
_symmetry_Int_Tables_number 160
_symmetry_space_group_name_Hall 'R 3 -2"'
_cell_length_a 4.5652
_cell_length_b 4.5652
_cell_length_c 22.8763
_cell_angle_alpha 90.00
_cell_angle_beta 90.00
_cell_angle_gamma 120.00
loop_
_atom_site_label
_atom_site_type_symbol
_atom_site_fract_x
_atom_site_fract_y
_atom_site_fract_z
Sr1 Sr 0.0000 0.0000 0.0000
Ac1 Ac 0.0000 0.0000 0.4797
Te1 Te 0.0000 0.0000 0.2419
P1 P 0.0000 0.0000 0.7452
```

Top 12 peaks for 2θ from 10° to 90°, by intensity:
- 2θ = 27.43°, 3.252 Å, intensity 100
- 2θ = 39.48°, 2.283 Å, intensity 39
- 2θ = 38.87°, 2.317 Å, intensity 35
- 2θ = 22.83°, 3.896 Å, intensity 22
- 2θ = 48.74°, 1.868 Å, intensity 21
- 2θ = 29.87°, 2.991 Å, intensity 20
- 2θ = 11.60°, 7.625 Å, intensity 19
- 2θ = 64.45°, 1.446 Å, intensity 18
- 2θ = 23.81°, 3.737 Å, intensity 15
- 2θ = 63.59°, 1.463 Å, intensity 13
- 2θ = 53.99°, 1.698 Å, intensity 12
- 2θ = 71.20°, 1.324 Å, intensity 12

Theoretical X-ray diffraction stick pattern
Compound: La8Pr3Tl2
Radiation: CuKα
Structure: a structure optimized by DFT (GGA-PBE)
Peak positions follow from Bragg's law for the DFT cell and can differ from measured ones.

Structure:
```
data_La8Pr3Tl2
_symmetry_space_group_name_H-M 'P -1'
_symmetry_Int_Tables_number 2
_cell_length_a 6.5888
_cell_length_b 7.5480
_cell_length_c 9.7837
_cell_angle_alpha 91.35
_cell_angle_beta 91.29
_cell_angle_gamma 107.67
loop_
_symmetry_equiv_pos_as_xyz
'x,y,z'
'-x,-y,-z'
loop_
_atom_site_label
_atom_site_type_symbol
_atom_site_fract_x
_atom_site_fract_y
_atom_site_fract_z
La1 La 0.0328 0.3800 0.3582
La2 La 0.0454 0.8663 0.3209
La3 La 0.3899 0.9716 0.8266
La4 La 0.4358 0.4740 0.8124
Pr1 Pr 0.0000 0.5000 0.0000
Pr2 Pr 0.4849 0.2438 0.5007
Tl1 Tl 0.1773 0.1589 0.0710
```

Top 12 peaks for 2θ from 10° to 90°, by intensity:
- 2θ = 30.46°, 2.935 Å, intensity 100
- 2θ = 30.52°, 2.929 Å, intensity 90
- 2θ = 31.35°, 2.854 Å, intensity 79
- 2θ = 32.95°, 2.719 Å, intensity 76
- 2θ = 33.22°, 2.697 Å, intensity 55
- 2θ = 30.19°, 2.961 Å, intensity 47
- 2θ = 28.45°, 3.137 Å, intensity 26
- 2θ = 57.35°, 1.607 Å, intensity 25
- 2θ = 57.21°, 1.610 Å, intensity 21
- 2θ = 48.25°, 1.886 Å, intensity 20
- 2θ = 40.00°, 2.254 Å, intensity 17
- 2θ = 57.79°, 1.596 Å, intensity 17

Theoretical X-ray diffraction stick pattern
Compound: Li3Pb
Radiation: CuKα
Structure: a structure optimized by DFT (GGA-PBE)
Peak positions follow from Bragg's law for the DFT cell and can differ from measured ones.

Structure:
```
data_Li3Pb
_symmetry_space_group_name_H-M 'P m -3 n'
_symmetry_Int_Tables_number 223
_symmetry_space_group_name_Hall '-P 4n 2 3'
_cell_length_a 5.3557
_cell_length_b 5.3557
_cell_length_c 5.3557
_cell_angle_alpha 90.00
_cell_angle_beta 90.00
_cell_angle_gamma 90.00
loop_
_atom_site_label
_atom_site_type_symbol
_atom_site_fract_x
_atom_site_fract_y
_atom_site_fract_z
Li1 Li 0.0000 0.2500 0.5000
Pb1 Pb 0.0000 0.0000 0.0000
```

Top 12 peaks for 2θ from 10° to 90°, by intensity:
- 2θ = 23.49°, 3.787 Å, intensity 100
- 2θ = 41.29°, 2.186 Å, intensity 53
- 2θ = 65.18°, 1.431 Å, intensity 28
- 2θ = 33.46°, 2.678 Å, intensity 23
- 2θ = 54.15°, 1.694 Å, intensity 22
- 2θ = 48.05°, 1.894 Å, intensity 16
- 2θ = 75.28°, 1.262 Å, intensity 13
- 2θ = 80.14°, 1.198 Å, intensity 8
- 2θ = 84.93°, 1.142 Å, intensity 7
- 2θ = 89.69°, 1.093 Å, intensity 6
- 2θ = 59.82°, 1.546 Å, intensity 5
- 2θ = 70.31°, 1.339 Å, intensity 3

Theoretical X-ray diffraction stick pattern
Compound: TlCd2Fe
Radiation: CuKα
Structure: a structure optimized by DFT (GGA-PBE)
Peak positions follow from Bragg's law for the DFT cell and can differ from measured ones.

Structure:
```
data_TlCd2Fe
_symmetry_space_group_name_H-M 'R 3 m'
_symmetry_Int_Tables_number 160
_symmetry_space_group_name_Hall 'R 3 -2"'
_cell_length_a 3.1607
_cell_length_b 3.1607
_cell_length_c 29.1427
_cell_angle_alpha 90.00
_cell_angle_beta 90.00
_cell_angle_gamma 120.00
loop_
_atom_site_label
_atom_site_type_symbol
_atom_site_fract_x
_atom_site_fract_y
_atom_site_fract_z
Tl1 Tl 0.0000 0.0000 0.0000
Cd1 Cd 0.0000 0.0000 0.5170
Cd2 Cd 0.0000 0.0000 0.7595
Fe1 Fe 0.0000 0.0000 0.2565
```

Top 12 peaks for 2θ from 10° to 90°, by intensity:
- 2θ = 35.02°, 2.562 Å, intensity 100
- 2θ = 41.25°, 2.188 Å, intensity 58
- 2θ = 58.39°, 1.580 Å, intensity 23
- 2θ = 37.02°, 2.429 Å, intensity 23
- 2θ = 71.18°, 1.325 Å, intensity 19
- 2θ = 27.55°, 3.238 Å, intensity 13
- 2θ = 69.94°, 1.345 Å, intensity 13
- 2θ = 61.11°, 1.516 Å, intensity 12
- 2θ = 18.27°, 4.857 Å, intensity 11
- 2θ = 36.26°, 2.478 Å, intensity 11
- 2θ = 73.99°, 1.281 Å, intensity 10
- 2θ = 52.78°, 1.734 Å, intensity 10

Theoretical X-ray diffraction stick pattern
Compound: Pu3Al2Ga7
Radiation: CuKα
Structure: a structure optimized by DFT (GGA-PBE)
Peak positions follow from Bragg's law for the DFT cell and can differ from measured ones.

Structure:
```
data_Pu3Al2Ga7
_symmetry_space_group_name_H-M 'R -3 m'
_symmetry_Int_Tables_number 166
_symmetry_space_group_name_Hall '-R 3 2"'
_cell_length_a 5.4758
_cell_length_b 5.4758
_cell_length_c 28.2540
_cell_angle_alpha 90.00
_cell_angle_beta 90.00
_cell_angle_gamma 120.00
loop_
_atom_site_label
_atom_site_type_symbol
_atom_site_fract_x
_atom_site_fract_y
_atom_site_fract_z
Pu1 Pu 0.0000 0.0000 0.0000
Pu2 Pu 0.0000 0.0000 0.3930
Al1 Al 0.0000 0.0000 0.2896
Ga1 Ga 0.0000 0.0000 0.5000
Ga2 Ga 0.0090 0.5045 0.5481
```

Top 12 peaks for 2θ from 10° to 90°, by intensity:
- 2θ = 24.51°, 3.633 Å, intensity 100
- 2θ = 37.04°, 2.427 Å, intensity 96
- 2θ = 31.59°, 2.833 Å, intensity 84
- 2θ = 32.71°, 2.738 Å, intensity 74
- 2θ = 34.10°, 2.629 Å, intensity 68
- 2θ = 38.50°, 2.338 Å, intensity 54
- 2θ = 61.24°, 1.514 Å, intensity 46
- 2θ = 38.09°, 2.363 Å, intensity 44
- 2θ = 19.75°, 4.496 Å, intensity 33
- 2θ = 43.88°, 2.063 Å, intensity 31
- 2θ = 68.55°, 1.369 Å, intensity 30
- 2θ = 53.65°, 1.708 Å, intensity 30

Theoretical X-ray diffraction stick pattern
Compound: Pr5Pd4O
Radiation: CuKα
Structure: a structure optimized by DFT (GGA-PBE)
Peak positions follow from Bragg's law for the DFT cell and can differ from measured ones.

Structure:
```
data_Pr5Pd4O
_symmetry_space_group_name_H-M 'I 4'
_symmetry_Int_Tables_number 79
_cell_length_a 9.2410
_cell_length_b 9.2410
_cell_length_c 5.6759
_cell_angle_alpha 90.00
_cell_angle_beta 90.00
_cell_angle_gamma 90.00
loop_
_symmetry_equiv_pos_as_xyz
'x,y,z'
'-y,x,z'
'-x,-y,z'
'y,-x,z'
'x+1/2,y+1/2,z+1/2'
'-y+1/2,x+1/2,z+1/2'
'-x+1/2,-y+1/2,z+1/2'
'y+1/2,-x+1/2,z+1/2'
loop_
_atom_site_label
_atom_site_type_symbol
_atom_site_fract_x
_atom_site_fract_y
_atom_site_fract_z
Pr1 Pr 0.0000 0.0000 0.0000
Pr2 Pr 0.1224 0.7478 0.5224
Pd1 Pd 0.0696 0.6586 0.0236
O1 O 0.0000 0.0000 0.5679
```

Top 12 peaks for 2θ from 10° to 90°, by intensity:
- 2θ = 30.59°, 2.922 Å, intensity 100
- 2θ = 31.52°, 2.838 Å, intensity 70
- 2θ = 44.50°, 2.036 Å, intensity 70
- 2θ = 33.09°, 2.707 Å, intensity 61
- 2θ = 38.54°, 2.336 Å, intensity 60
- 2θ = 63.38°, 1.468 Å, intensity 28
- 2θ = 26.68°, 3.341 Å, intensity 22
- 2θ = 43.81°, 2.066 Å, intensity 21
- 2θ = 54.97°, 1.670 Å, intensity 21
- 2θ = 60.86°, 1.522 Å, intensity 16
- 2θ = 66.90°, 1.399 Å, intensity 15
- 2θ = 74.31°, 1.276 Å, intensity 15

Theoretical X-ray diffraction stick pattern
Compound: MgAg6Sn2
Radiation: CuKα
Structure: a structure optimized by DFT (GGA-PBE)
Peak positions follow from Bragg's law for the DFT cell and can differ from measured ones.

Structure:
```
data_MgAg6Sn2
_symmetry_space_group_name_H-M 'P 42/m n m'
_symmetry_Int_Tables_number 136
_symmetry_space_group_name_Hall '-P 4n 2n'
_cell_length_a 8.9228
_cell_length_b 8.9228
_cell_length_c 4.3923
_cell_angle_alpha 90.00
_cell_angle_beta 90.00
_cell_angle_gamma 90.00
loop_
_atom_site_label
_atom_site_type_symbol
_atom_site_fract_x
_atom_site_fract_y
_atom_site_fract_z
Mg1 Mg 0.0000 0.0000 0.0000
Ag1 Ag 0.0021 0.3345 0.0000
Ag2 Ag 0.1641 0.8359 0.5000
Sn1 Sn 0.1714 0.1714 0.5000
```

Top 12 peaks for 2θ from 10° to 90°, by intensity:
- 2θ = 36.48°, 2.463 Å, intensity 100
- 2θ = 43.01°, 2.103 Å, intensity 31
- 2θ = 74.54°, 1.273 Å, intensity 23
- 2θ = 61.00°, 1.519 Å, intensity 21
- 2θ = 41.10°, 2.196 Å, intensity 18
- 2θ = 71.87°, 1.314 Å, intensity 13
- 2θ = 77.52°, 1.231 Å, intensity 11
- 2θ = 62.45°, 1.487 Å, intensity 10
- 2θ = 14.04°, 6.309 Å, intensity 4
- 2θ = 22.56°, 3.941 Å, intensity 3
- 2θ = 19.90°, 4.461 Å, intensity 2
- 2θ = 30.26°, 2.954 Å, intensity 2

Theoretical X-ray diffraction stick pattern
Compound: Pm4YTm10
Radiation: CuKα
Structure: a structure optimized by DFT (GGA-PBE)
Peak positions follow from Bragg's law for the DFT cell and can differ from measured ones.

Structure:
```
data_Pm4YTm10
_symmetry_space_group_name_H-M 'I 4/m'
_symmetry_Int_Tables_number 87
_symmetry_space_group_name_Hall '-I 4'
_cell_length_a 12.1359
_cell_length_b 12.1359
_cell_length_c 7.6581
_cell_angle_alpha 90.00
_cell_angle_beta 90.00
_cell_angle_gamma 90.00
loop_
_atom_site_label
_atom_site_type_symbol
_atom_site_fract_x
_atom_site_fract_y
_atom_site_fract_z
Pm1 Pm 0.1005 0.2990 0.0000
Y1 Y 0.0000 0.0000 0.5000
Tm1 Tm 0.0000 0.5000 0.2500
Tm2 Tm 0.0993 0.8000 0.2509
```

Top 12 peaks for 2θ from 10° to 90°, by intensity:
- 2θ = 33.03°, 2.712 Å, intensity 100
- 2θ = 59.00°, 1.566 Å, intensity 38
- 2θ = 23.19°, 3.835 Å, intensity 22
- 2θ = 20.05°, 4.428 Å, intensity 20
- 2θ = 47.38°, 1.919 Å, intensity 12
- 2θ = 69.31°, 1.356 Å, intensity 12
- 2θ = 78.89°, 1.213 Å, intensity 11
- 2θ = 38.95°, 2.312 Å, intensity 11
- 2θ = 40.75°, 2.214 Å, intensity 7
- 2θ = 53.40°, 1.716 Å, intensity 6
- 2θ = 47.49°, 1.915 Å, intensity 6
- 2θ = 79.07°, 1.211 Å, intensity 5

Theoretical X-ray diffraction stick pattern
Compound: Ga3Ni2Ru2
Radiation: CuKα
Structure: a structure optimized by DFT (GGA-PBE)
Peak positions follow from Bragg's law for the DFT cell and can differ from measured ones.

Structure:
```
data_Ga3Ni2Ru2
_symmetry_space_group_name_H-M 'C m m m'
_symmetry_Int_Tables_number 65
_symmetry_space_group_name_Hall '-C 2 2'
_cell_length_a 2.9858
_cell_length_b 21.4268
_cell_length_c 2.9654
_cell_angle_alpha 90.00
_cell_angle_beta 90.00
_cell_angle_gamma 90.00
loop_
_atom_site_label
_atom_site_type_symbol
_atom_site_fract_x
_atom_site_fract_y
_atom_site_fract_z
Ga1 Ga 0.0000 0.0000 0.0000
Ga2 Ga 0.0000 0.1456 0.0000
Ni1 Ni 0.0000 0.2949 0.5000
Ru1 Ru 0.0000 0.4278 0.5000
```

Top 12 peaks for 2θ from 10° to 90°, by intensity:
- 2θ = 42.28°, 2.137 Å, intensity 100
- 2θ = 43.20°, 2.094 Å, intensity 94
- 2θ = 39.50°, 2.281 Å, intensity 50
- 2θ = 45.64°, 1.988 Å, intensity 46
- 2θ = 78.51°, 1.218 Å, intensity 30
- 2θ = 81.43°, 1.182 Å, intensity 17
- 2θ = 80.45°, 1.194 Å, intensity 16
- 2θ = 62.18°, 1.493 Å, intensity 16
- 2θ = 62.66°, 1.483 Å, intensity 16
- 2θ = 60.49°, 1.530 Å, intensity 15
- 2θ = 76.21°, 1.249 Å, intensity 14
- 2θ = 72.91°, 1.297 Å, intensity 14

Theoretical X-ray diffraction stick pattern
Compound: Pr3Y4Pu
Radiation: CuKα
Structure: a structure optimized by DFT (GGA-PBE)
Peak positions follow from Bragg's law for the DFT cell and can differ from measured ones.

Structure:
```
data_Pr3Y4Pu
_symmetry_space_group_name_H-M 'I m m m'
_symmetry_Int_Tables_number 71
_symmetry_space_group_name_Hall '-I 2 2'
_cell_length_a 3.4798
_cell_length_b 11.7734
_cell_length_c 13.0580
_cell_angle_alpha 90.00
_cell_angle_beta 90.00
_cell_angle_gamma 90.00
loop_
_atom_site_label
_atom_site_type_symbol
_atom_site_fract_x
_atom_site_fract_y
_atom_site_fract_z
Pr1 Pr 0.0000 0.0000 0.0000
Pr2 Pr 0.0000 0.5000 0.2354
Y1 Y 0.0000 0.2478 0.3681
Pu1 Pu 0.0000 0.0000 0.5000
```

Top 12 peaks for 2θ from 10° to 90°, by intensity:
- 2θ = 31.33°, 2.855 Å, intensity 100
- 2θ = 30.07°, 2.971 Å, intensity 95
- 2θ = 30.37°, 2.943 Å, intensity 57
- 2θ = 37.18°, 2.418 Å, intensity 55
- 2θ = 36.41°, 2.468 Å, intensity 28
- 2θ = 62.51°, 1.486 Å, intensity 27
- 2θ = 48.73°, 1.869 Å, intensity 25
- 2θ = 15.05°, 5.887 Å, intensity 23
- 2θ = 50.04°, 1.823 Å, intensity 21
- 2θ = 54.57°, 1.682 Å, intensity 21
- 2θ = 10.12°, 8.744 Å, intensity 18
- 2θ = 55.00°, 1.670 Å, intensity 18

Theoretical X-ray diffraction stick pattern
Compound: Cs2SnRuI6
Radiation: CuKα
Structure: a structure optimized by DFT (GGA-PBE)
Peak positions follow from Bragg's law for the DFT cell and can differ from measured ones.

Structure:
```
data_Cs2SnRuI6
_symmetry_space_group_name_H-M 'I 4/m m m'
_symmetry_Int_Tables_number 139
_symmetry_space_group_name_Hall '-I 4 2'
_cell_length_a 8.3347
_cell_length_b 8.3347
_cell_length_c 11.7775
_cell_angle_alpha 90.00
_cell_angle_beta 90.00
_cell_angle_gamma 90.00
loop_
_atom_site_label
_atom_site_type_symbol
_atom_site_fract_x
_atom_site_fract_y
_atom_site_fract_z
Cs1 Cs 0.0000 0.5000 0.2500
Sn1 Sn 0.0000 0.0000 0.0000
Ru1 Ru 0.0000 0.0000 0.5000
I1 I 0.0000 0.0000 0.2665
I2 I 0.2335 0.2335 0.5000
```

Top 12 peaks for 2θ from 10° to 90°, by intensity:
- 2θ = 30.34°, 2.946 Å, intensity 100
- 2θ = 26.20°, 3.402 Å, intensity 79
- 2θ = 43.44°, 2.083 Å, intensity 71
- 2θ = 51.44°, 1.776 Å, intensity 32
- 2θ = 71.63°, 1.317 Å, intensity 29
- 2θ = 53.91°, 1.701 Å, intensity 24
- 2θ = 79.73°, 1.203 Å, intensity 21
- 2θ = 21.33°, 4.166 Å, intensity 19
- 2θ = 15.04°, 5.892 Å, intensity 18
- 2θ = 69.55°, 1.352 Å, intensity 11
- 2θ = 63.12°, 1.473 Å, intensity 11
- 2θ = 34.02°, 2.635 Å, intensity 8

Theoretical X-ray diffraction stick pattern
Compound: Er2Mg3Sn3
Radiation: CuKα
Structure: a structure optimized by DFT (GGA-PBE)
Peak positions follow from Bragg's law for the DFT cell and can differ from measured ones.

Structure:
```
data_Er2Mg3Sn3
_symmetry_space_group_name_H-M 'P m m m'
_symmetry_Int_Tables_number 47
_cell_length_a 4.5957
_cell_length_b 4.7069
_cell_length_c 8.8942
_cell_angle_alpha 90.00
_cell_angle_beta 90.00
_cell_angle_gamma 90.00
loop_
_symmetry_equiv_pos_as_xyz
'x,y,z'
'-x,-y,-z'
'-x,-y,z'
'x,y,-z'
'x,-y,-z'
'-x,y,z'
'-x,y,-z'
'x,-y,z'
loop_
_atom_site_label
_atom_site_type_symbol
_atom_site_fract_x
_atom_site_fract_y
_atom_site_fract_z
Er1 Er 0.0000 0.0000 0.2428
Mg1 Mg 0.0000 0.5000 0.5000
Mg2 Mg 0.5000 0.5000 0.2555
Sn1 Sn 0.0000 0.5000 0.0000
Sn2 Sn 0.5000 0.0000 0.0000
Sn3 Sn 0.5000 0.0000 0.5000
```

Top 12 peaks for 2θ from 10° to 90°, by intensity:
- 2θ = 33.90°, 2.644 Å, intensity 100
- 2θ = 18.85°, 4.707 Å, intensity 25
- 2θ = 27.92°, 3.196 Å, intensity 19
- 2θ = 38.24°, 2.353 Å, intensity 18
- 2θ = 39.21°, 2.298 Å, intensity 17
- 2θ = 40.57°, 2.224 Å, intensity 16
- 2θ = 66.38°, 1.408 Å, intensity 15
- 2θ = 67.68°, 1.384 Å, intensity 14
- 2θ = 69.56°, 1.351 Å, intensity 12
- 2θ = 55.92°, 1.644 Å, intensity 12
- 2θ = 56.98°, 1.616 Å, intensity 12
- 2θ = 71.35°, 1.322 Å, intensity 12